The following is a computed PXRD pattern of Li4Mn3Nb2Fe3O16. It was derived from the GGA+U geometry in Alexandria, using Cu Kα (λ = 1.5418 Å).
Neutral-atom scattering factors, no anomalous dispersion.

Peak list (12 most intense, 15 to 90 degrees two-theta, in order of rising 2θ)
- 2θ 18.21, intensity 38.9
- 2θ 18.97, intensity 32.8
- 2θ 19.40, intensity 71.7
- 2θ 19.75, intensity 100.0
- 2θ 25.55, intensity 31.9
- 2θ 32.31, intensity 31.0
- 2θ 34.60, intensity 36.1
- 2θ 35.65, intensity 31.6
- 2θ 35.87, intensity 35.0
- 2θ 36.09, intensity 37.1
- 2θ 45.63, intensity 38.6
- 2θ 62.14, intensity 39.7

Crystal structure
a b c (Å): 5.9810 5.9810 9.7525
angles (deg): 92.28 92.28 58.93
Fractional positions:
Li 0.0000 0.0000 0.0000
Li 0.0073 0.0073 0.4944
Li 0.3451 0.3451 0.5798
Li 0.6720 0.6720 0.0893
Mn 0.1737 0.1737 0.2740
Mn 0.3435 0.8349 0.7735
Mn 0.8349 0.3435 0.7735
Nb 0.3379 0.3379 0.9996
Nb 0.6841 0.6841 0.4904
Fe 0.1753 0.6643 0.2725
Fe 0.6643 0.1753 0.2725
Fe 0.8341 0.8341 0.7695
O 0.0030 0.0030 0.6825
O 0.0043 0.0043 0.1863
O 0.0399 0.4950 0.1462
O 0.1613 0.6629 0.9001
O 0.1631 0.1631 0.8973
O 0.3378 0.8269 0.3962
O 0.3385 0.3385 0.3710
O 0.4847 0.4847 0.1518
O 0.4950 0.0399 0.1462
O 0.5265 0.5265 0.6499
O 0.5288 0.9756 0.6348
O 0.6629 0.1613 0.9001
O 0.6719 0.6719 0.8760
O 0.8269 0.3378 0.3962
O 0.8404 0.8404 0.3851
O 0.9756 0.5288 0.6348